[1]
Starting from a GGA-PBE-relaxed structure, the PXRD pattern of K2Cd3F8 was simulated for CuKα.
No peak broadening, texture or thermal motion is included.

Structure:
```
K2Cd3F8
1.0
7.2610 0.0000 0.0000
0.0000 3.6512 0.0000
-3.2071 0.0000 8.7618
K Cd F
2 3 8
Cartesian
0.8837 0.0000 2.4893
3.1702 0.0000 6.2725
-0.4428 1.8256 5.7822
3.6305 0.0000 0.0000
4.4967 1.8256 2.9796
-0.5985 1.8256 3.4376
-1.1864 0.0000 7.2484
0.7683 0.0000 5.2570
2.7701 1.8256 1.1873
1.2837 1.8256 7.5745
3.2856 0.0000 3.5048
5.2402 0.0000 1.5134
4.6524 1.8256 5.3242
```

The 10 most intense peaks (2θ = 10–90°), in order of falling intensity:
13.44°, intensity 100, (1 0 -1)
31.71°, intensity 42, (1 1 -2)
27.72°, intensity 29, (1 0 2)
45.07°, intensity 27, (3 1 -1)
26.45°, intensity 22, (0 1 1)
30.61°, intensity 20, (0 0 3)
41.29°, intensity 20, (2 1 -3)
38.10°, intensity 16, (1 1 -3)
31.12°, intensity 15, (1 1 1)
38.63°, intensity 15, (2 0 2)

=====

[2]
Starting from a GGA-PBE-relaxed structure, the PXRD pattern of KCd2F6 was simulated for CuKα.
No peak broadening, texture or thermal motion is included.

Structure:
```
KCd2F6
1.0
5.9718 0.0000 0.0000
-2.9859 5.1717 0.0000
0.0000 0.0000 5.5243
K Cd F
1 2 6
Cartesian
0.0000 0.0000 0.0000
0.0000 3.4478 2.7622
2.9859 1.7239 2.7622
-1.1060 1.9157 3.9274
-1.8799 3.2560 1.5969
2.2120 0.0000 3.9274
1.1060 1.9157 1.5969
3.7597 0.0000 1.5969
1.8799 3.2560 3.9274
```

The 10 most intense peaks (2θ = 10–90°), in order of falling intensity:
23.56°, intensity 100, (1 0 1)
16.04°, intensity 75, (0 0 1)
44.69°, intensity 70, (2 -1 2)
34.13°, intensity 59, (2 -1 1)
29.93°, intensity 48, (1 1 0)
17.15°, intensity 31, (1 0 0)
49.46°, intensity 26, (3 -1 1)
53.13°, intensity 26, (3 0 0)
38.44°, intensity 23, (2 0 1)
58.93°, intensity 16, (1 1 3)